Computed X-ray diffraction stick pattern of TmGe2Rh2 for copper Kα, from a structure optimized by DFT (GGA-PBE).
No peak broadening, texture or thermal motion is included.

Main lines, sorted by position (2θ = 5–70°):
d_spacing  Position (°2θ)  intensity
2.638  34.0  52
2.538  35.4  100
2.063  43.9  51
1.842  49.5  21
1.625  56.6  24
1.459  63.8  16

Atomic structure:
Unit cell a=5.9153 b=5.9153 c=5.9153 alpha=139.17 beta=139.17 gamma=59.12
Fractional positions:
Tm (0.0000, 0.0000, 0.0000)
Ge (0.3795, 0.3795, 0.0000)
Ge (0.6205, 0.6205, 0.0000)
Rh (0.2500, 0.7500, 0.5000)
Rh (0.7500, 0.2500, 0.5000)